# 1
Structure and theoretical powder diffraction line list of ThMgNi2H6 (the GGA-PBE geometry in Alexandria; CuKα).

Atomic structure:
a = 5.839 Å, b = 5.839 Å, c = 5.839 Å
α = 44.65°, β = 44.65°, γ = 44.65°
Sites, in units of the cell vectors:
Th 0.000 0.000 0.000
Mg 0.500 0.500 0.500
Ni 0.211 0.211 0.211
Ni 0.789 0.789 0.789
H 0.068 0.563 0.563
H 0.437 0.437 0.932
H 0.437 0.932 0.437
H 0.563 0.068 0.563
H 0.563 0.563 0.068
H 0.932 0.437 0.437

The 6 most intense peaks (2θ = 10–90°), low angle first:
- 2θ = 23.84°, rel. 100
- 2θ = 25.80°, rel. 27
- 2θ = 32.57°, rel. 95
- 2θ = 36.91°, rel. 67
- 2θ = 40.67°, rel. 71
- 2θ = 68.28°, rel. 25

---

# 2
Structure and theoretical powder diffraction line list of Nd6Cd2In (the GGA-PBE geometry in Alexandria; CuKα).

Atomic structure:
a = 5.548 Å, b = 5.548 Å, c = 10.472 Å
α = 90.00°, β = 90.00°, γ = 120.00°
Sites, in units of the cell vectors:
Nd 0.000 0.000 0.176
Nd 0.000 0.000 0.824
Nd 0.333 0.667 0.014
Nd 0.333 0.667 0.386
Nd 0.667 0.333 0.614
Nd 0.667 0.333 0.986
Cd 0.333 0.667 0.707
Cd 0.667 0.333 0.293
In 0.000 0.000 0.500

The 6 most intense peaks (2θ = 10–90°), low angle first:
- 2θ = 31.68°, rel. 95
- 2θ = 32.27°, rel. 100
- 2θ = 45.85°, rel. 34
- 2θ = 57.18°, rel. 35
- 2θ = 57.54°, rel. 19
- 2θ = 76.52°, rel. 15

---

# 3
Structure and theoretical powder diffraction line list of BeBiCl5 (the GGA-PBE geometry in Alexandria; CuKα).

Atomic structure:
a = 6.893 Å, b = 6.893 Å, c = 9.879 Å
α = 110.55°, β = 110.55°, γ = 87.14°
Sites, in units of the cell vectors:
Be 0.136 0.864 0.750
Be 0.864 0.136 0.250
Bi 0.000 0.500 0.000
Bi 0.500 0.000 0.500
Cl 0.132 0.186 0.435
Cl 0.170 0.616 0.824
Cl 0.186 0.132 0.935
Cl 0.358 0.642 0.250
Cl 0.384 0.830 0.676
Cl 0.616 0.170 0.324
Cl 0.642 0.358 0.750
Cl 0.814 0.868 0.065
Cl 0.830 0.384 0.176
Cl 0.868 0.814 0.565

The 6 most intense peaks (2θ = 10–90°), low angle first:
- 2θ = 13.93°, rel. 100
- 2θ = 18.68°, rel. 36
- 2θ = 19.93°, rel. 83
- 2θ = 20.76°, rel. 46
- 2θ = 32.78°, rel. 33
- 2θ = 33.41°, rel. 34